This entry pairs a crystal structure of Ba2Mn2Se2OF2 with its calculated X-ray diffraction stick pattern. Radiation: λ = 1.5418 Å (Cu Kα). Structure: a crystal structure in Alexandria, relaxed with GGA+U.

The 8 most intense peaks (10° ≤ 2θ ≤ 90°), in order of rising 2θ:
| index | two_theta | intensity |
| --- | --- | --- |
| 1 0 3 | 24.49 | 59.2 |
| 1 1 0 | 29.06 | 34.5 |
| 1 0 5 | 30.46 | 100.0 |
| 1 1 4 | 34.30 | 66.7 |
| 2 0 0 | 41.56 | 54.6 |
| 1 0 9 | 46.07 | 24.6 |
| 2 1 5 | 52.39 | 35.8 |
| 2 1 9 | 63.77 | 23.9 |

Cell and atoms:
Unit cell a=4.3459 b=4.3459 c=19.8936 alpha=90.00 beta=90.00 gamma=90.00
Space group I4/mmm (No. 139)
Inequivalent atoms, fractional coordinates:
Ba (0.0000, 0.0000, 0.1715) (multiplicity 4)
Mn (0.0000, 0.5000, 0.0000) (multiplicity 4)
Se (0.0000, 0.0000, 0.4065) (multiplicity 4)
O (0.0000, 0.0000, 0.0000) (multiplicity 2)
F (0.0000, 0.5000, 0.2500) (multiplicity 4)